(1)
For In2SbH2, a PBE-relaxed structure gives the simulated PXRD pattern in this record (copper Kα).

Cell and atoms:
Unit cell a=8.767 b=3.484 c=6.682 alpha=90.00 beta=100.31 gamma=90.00
Space group C2/m (No. 12)
Asymmetric unit:
In: 0.239 0.000 0.219
Sb: 0.000 0.000 0.500
H: 0.151 0.500 0.033

The 12 most intense peaks (2θ = 10–90°), in order of falling intensity:
(1 1 1), 31.67°, I = 100
(3 1 -1), 41.14°, I = 62
(2 0 -2), 31.12°, I = 52
(2 0 2), 37.24°, I = 28
(1 1 -3), 48.62°, I = 26
(2 0 1), 26.67°, I = 25
(4 0 0), 41.89°, I = 22
(1 1 0), 27.61°, I = 21
(1 1 -2), 37.71°, I = 19
(2 0 -1), 22.54°, I = 18
(0 0 1), 13.47°, I = 17
(6 0 -2), 66.13°, I = 16

***

(2)
For Y8Er3Th, a PBE-relaxed structure gives the simulated PXRD pattern in this record (copper Kα).

Cell and atoms:
Unit cell a=6.877 b=11.655 c=9.895 alpha=90.00 beta=90.00 gamma=90.00
Space group Cmmm (No. 65)
Asymmetric unit:
Y: 0.000 0.249 0.187
Y: 0.249 0.500 0.312
Er: 0.000 0.000 0.000
Er: 0.250 0.250 0.500
Th: 0.000 0.500 0.000

The 12 most intense peaks (2θ = 10–90°), in order of falling intensity:
(2 2 2), 35.32°, I = 100
(0 2 3), 31.16°, I = 90
(2 0 1), 27.46°, I = 64
(0 4 0), 30.68°, I = 50
(2 4 1), 41.64°, I = 42
(0 2 1), 17.66°, I = 34
(2 6 2), 57.60°, I = 24
(2 4 5), 62.87°, I = 23
(4 2 3), 63.03°, I = 23
(2 0 5), 53.42°, I = 19
(0 6 3), 54.85°, I = 18
(2 2 4), 47.92°, I = 15

***

(3)
For Zr5ScSn3, a PBE-relaxed structure gives the simulated PXRD pattern in this record (copper Kα).

Cell and atoms:
Unit cell a=7.506 b=7.506 c=14.733 alpha=90.00 beta=90.00 gamma=90.00
Space group I4/mcm (No. 140)
Asymmetric unit:
Zr: 0.000 0.000 0.000
Zr: 0.197 0.303 0.136
Sc: 0.000 0.500 0.250
Sn: 0.000 0.000 0.250
Sn: 0.125 0.375 0.500

The 12 most intense peaks (2θ = 10–90°), in order of falling intensity:
(2 0 4), 34.11°, I = 100
(2 1 3), 32.30°, I = 99
(2 2 0), 33.77°, I = 42
(3 1 0), 37.90°, I = 40
(2 1 5), 40.75°, I = 29
(3 2 1), 43.92°, I = 22
(4 1 3), 53.70°, I = 21
(0 0 8), 49.49°, I = 20
(3 1 8), 63.99°, I = 16
(5 1 4), 68.66°, I = 15
(4 2 4), 60.63°, I = 14
(0 0 2), 12.01°, I = 13